For AcLa6Pr4, a structure optimized by DFT (PBE) gives the simulated powder diffraction line list in this record (λ = 1.5418 Å (Cu Kα)).
No peak broadening, texture or thermal motion is included.

a = 11.6717 Å, b = 11.6717 Å, c = 6.1694 Å
α = 90.00°, β = 90.00°, γ = 90.00°
Space group P4_2/nmc (No. 137, origin choice 2)
Symmetry-distinct sites (fractional):
Ac 0.2500 0.7500 0.2500 (multiplicity 2)
La 0.0434 0.5434 0.2500 (multiplicity 8)
La 0.2500 0.2500 0.1187 (multiplicity 4)
Pr 0.0397 0.7500 0.7640 (multiplicity 8)

Principal peaks in the range 10° ≤ 2θ ≤ 80°, by intensity:
hkl 3 2 1, d = 2.867 Å, I = 100.0; hkl 4 0 0, d = 2.918 Å, I = 36.6; hkl 0 0 2, d = 3.085 Å, I = 25.7; hkl 3 2 3, d = 1.736 Å, I = 22.4; hkl 7 2 1, d = 1.552 Å, I = 22.3; hkl 2 1 1, d = 3.985 Å, I = 16.9; hkl 4 0 2, d = 2.120 Å, I = 16.5; hkl 5 1 2, d = 1.838 Å, I = 14.3; hkl 7 2 3, d = 1.264 Å, I = 11.0; hkl 5 5 2, d = 1.455 Å, I = 10.8